The following is a calculated PXRD pattern of V3Pb2O9. It was derived from a crystal structure in Alexandria, relaxed with GGA+U, using Cu Kα, 1.54184 Å.
Lines closer than 0.1° are merged.

Cell and atoms:
Cell: 7.5282 9.1165 12.7017 Å, 70.19 87.31 77.93°
Space group P-1 (No. 2)
Inequivalent atoms, fractional coordinates:
V  0.0830  0.4836  0.1781
V  0.1993  0.6349  0.5445
V  0.2179  0.7570  0.2516
V  0.2770  0.2564  0.7520
V  0.3024  0.8652  0.9548
V  0.4124  0.0154  0.3229
Pb  0.0901  0.9293  0.6659
Pb  0.1785  0.2171  0.0445
Pb  0.3166  0.2816  0.4566
Pb  0.4290  0.5611  0.8325
O  0.0115  0.2013  0.7305
O  0.0131  0.2425  0.4763
O  0.0573  0.2932  0.2409
O  0.1381  0.3877  0.8402
O  0.1752  0.4922  0.0514
O  0.1926  0.8108  0.8597
O  0.1959  0.4301  0.6029
O  0.1962  0.8306  0.0839
O  0.2397  0.5294  0.2585
O  0.2599  0.9720  0.2394
O  0.3014  0.6705  0.4145
O  0.3020  0.0709  0.8963
O  0.3133  0.6864  0.6402
O  0.3230  0.0045  0.4508
O  0.3658  0.1131  0.6607
O  0.4401  0.2057  0.2617
O  0.4816  0.3035  0.7652
O  0.4834  0.2544  0.0230

The 12 most intense peaks (10 to 90 degrees two-theta), most intense first:
2θ = 30.30°, d = 2.950 Å, I 100.0
2θ = 28.82°, d = 3.098 Å, I 80.2
2θ = 27.85°, d = 3.204 Å, I 70.9
2θ = 26.33°, d = 3.385 Å, I 58.4
2θ = 10.65°, d = 8.310 Å, I 35.1
2θ = 17.58°, d = 5.044 Å, I 35.0
2θ = 35.46°, d = 2.532 Å, I 33.7
2θ = 18.13°, d = 4.893 Å, I 32.9
2θ = 48.65°, d = 1.872 Å, I 23.4
2θ = 36.81°, d = 2.442 Å, I 22.4
2θ = 48.36°, d = 1.882 Å, I 22.1
2θ = 25.44°, d = 3.502 Å, I 21.6